Structure and calculated powder XRD pattern of B6Pb (a structure optimized by DFT (PBE); copper Kα).
Intensities are scaled so that the largest is 100.

Structural model:
Unit cell a=4.222 b=4.222 c=4.222 alpha=90.00 beta=90.00 gamma=90.00
Fractional coordinates of all 7 atoms:
B 0.000 0.000 0.297
B 0.000 0.000 0.703
B 0.000 0.297 0.000
B 0.000 0.703 0.000
B 0.297 0.000 0.000
B 0.703 0.000 0.000
Pb 0.500 0.500 0.500

Principal peaks in the range 2θ from 10° to 90°, by intensity:
| d (Å) | I (rel.) |
| --- | --- |
| 2.985 | 100 |
| 4.222 | 75 |
| 1.888 | 53 |
| 2.437 | 41 |
| 1.724 | 32 |
| 1.407 | 29 |